Entry 1:
Pm2CdSb4: simulated powder diffractogram (Cu Kα (λ = 1.5418 Å)), based on a crystal structure in OQMD, relaxed with PBE.

Structure:
Unit cell a=4.3513 b=4.3513 c=10.8065 alpha=90.00 beta=90.00 gamma=90.00
Sites, in units of the cell vectors:
Pm: 0.0000 0.5000 0.2348
Pm: 0.5000 0.0000 0.7652
Cd: 0.0000 0.0000 0.5000
Sb: 0.0000 0.0000 0.0000
Sb: 0.0000 0.5000 0.6754
Sb: 0.5000 0.0000 0.3246
Sb: 0.5000 0.5000 0.0000

Top 10 peaks for 10° ≤ 2θ ≤ 90°, most intense first:
2θ/deg  I_rel  h k l
33.52  100  1 1 2
41.51  35  2 0 0
26.30  23  1 0 2
70.64  22  3 1 2
39.25  13  1 0 4
33.16  13  0 0 4
32.26  13  1 0 3
54.12  13  2 0 4
46.94  12  1 0 5
60.15  12  2 2 0

Entry 2:
RbPrCdSe3: simulated powder diffractogram (Cu Kα (λ = 1.5418 Å)), based on a crystal structure in OQMD, relaxed with PBE.

Structure:
Unit cell a=15.6113 b=4.4030 c=11.6921 alpha=90.00 beta=90.00 gamma=90.00
Sites, in units of the cell vectors:
Rb: 0.2380 0.2500 0.0437
Rb: 0.2620 0.7500 0.5437
Rb: 0.7380 0.2500 0.4563
Rb: 0.7620 0.7500 0.9563
Pr: 0.0256 0.2500 0.3485
Pr: 0.4744 0.7500 0.8485
Pr: 0.5256 0.2500 0.1515
Pr: 0.9744 0.7500 0.6515
Cd: 0.0164 0.7500 0.1015
Cd: 0.4836 0.2500 0.6015
Cd: 0.5164 0.7500 0.3985
Cd: 0.9836 0.2500 0.8985
Se: 0.0855 0.7500 0.8825
Se: 0.0925 0.2500 0.5804
Se: 0.1394 0.7500 0.2557
Se: 0.3606 0.2500 0.7557
Se: 0.4075 0.7500 0.0804
Se: 0.4145 0.2500 0.3825
Se: 0.5855 0.7500 0.6175
Se: 0.5925 0.2500 0.9196
Se: 0.6394 0.7500 0.2443
Se: 0.8606 0.2500 0.7443
Se: 0.9075 0.7500 0.4196
Se: 0.9145 0.2500 0.1175

Top 10 peaks for 10° ≤ 2θ ≤ 90°, most intense first:
2θ/deg  I_rel  h k l
11.34  100  2 0 0
27.61  82  3 1 1
30.67  64  3 1 2
38.55  49  5 1 2
32.73  47  2 0 4
41.00  32  0 2 0
42.39  20  5 1 3
25.55  18  2 0 3
53.41  16  2 2 4
48.32  16  7 1 2